(1)
# Zn4BO6
Computed XRD peak list, Cu Ka. Input: a crystal structure in Alexandria, relaxed with PBE.
No peak broadening, texture or thermal motion is included.

Structural model:
Unit cell a=9.7820 b=5.5123 c=9.9632 alpha=90.00 beta=112.23 gamma=90.00
Space group Cc (No. 9)
One atom of each set of equivalent atoms:
Zn 0.0000 0.0962 0.0000
Zn 0.1257 0.3014 0.3428
Zn 0.3083 0.3866 0.6871
Zn 0.3443 0.1134 0.0006
B 0.0678 0.2206 0.7548
O 0.1146 0.0090 0.2071
O 0.1162 0.4401 0.6995
O 0.1305 0.2373 0.9147
O 0.3195 0.2444 0.5077
O 0.4046 0.2870 0.1914
O 0.4455 0.2777 0.8852

Largest 10 diffraction maxima, in order of rising 2θ, 2θ from 10° to 90°:
29.66 deg, d = 3.012 Å, rel. 48
31.47 deg, d = 2.843 Å, rel. 39
31.92 deg, d = 2.803 Å, rel. 54
32.53 deg, d = 2.752 Å, rel. 60
32.95 deg, d = 2.718 Å, rel. 80
33.93 deg, d = 2.642 Å, rel. 100
36.43 deg, d = 2.466 Å, rel. 31
37.99 deg, d = 2.368 Å, rel. 49
40.01 deg, d = 2.253 Å, rel. 23
61.46 deg, d = 1.509 Å, rel. 30

(2)
# ZnB4O7
Computed XRD peak list, Cu Ka. Input: a crystal structure in Alexandria, relaxed with PBE.
No peak broadening, texture or thermal motion is included.

Structural model:
Unit cell a=10.9058 b=6.5583 c=5.2206 alpha=90.00 beta=90.00 gamma=90.00
Space group Cmcm (No. 63)
One atom of each set of equivalent atoms:
Zn 0.0000 0.2327 0.2500
B 0.1176 0.1936 0.7500
B 0.2025 0.5000 0.0000
O 0.0000 0.0805 0.7500
O 0.1283 0.3178 0.5230
O 0.2202 0.0251 0.7500

Largest 10 diffraction maxima, in order of rising 2θ, 2θ from 10° to 90°:
16.26 deg, d = 5.453 Å, rel. 29
23.25 deg, d = 3.825 Å, rel. 63
27.19 deg, d = 3.279 Å, rel. 30
31.84 deg, d = 2.810 Å, rel. 89
32.99 deg, d = 2.716 Å, rel. 100
38.01 deg, d = 2.367 Å, rel. 30
45.76 deg, d = 1.983 Å, rel. 36
47.24 deg, d = 1.924 Å, rel. 31
47.54 deg, d = 1.913 Å, rel. 33
48.27 deg, d = 1.885 Å, rel. 53

(3)
# Pa2B4Os3
Computed XRD peak list, Cu Ka. Input: a crystal structure in Alexandria, relaxed with PBE.
No peak broadening, texture or thermal motion is included.

Structural model:
Unit cell a=5.5619 b=9.2211 c=9.7950 alpha=90.00 beta=90.00 gamma=90.00
Space group Fmmm (No. 69)
One atom of each set of equivalent atoms:
Pa 0.0000 0.0000 0.1466
B 0.0000 0.2070 0.3322
Os 0.0000 0.0000 0.5000
Os 0.2500 0.2500 0.0000

Largest 10 diffraction maxima, in order of rising 2θ, 2θ from 10° to 90°:
18.11 deg, d = 4.898 Å, rel. 54
26.55 deg, d = 3.357 Å, rel. 21
33.27 deg, d = 2.693 Å, rel. 100
37.78 deg, d = 2.381 Å, rel. 97
39.07 deg, d = 2.305 Å, rel. 48
41.77 deg, d = 2.163 Å, rel. 24
42.20 deg, d = 2.142 Å, rel. 30
43.59 deg, d = 2.076 Å, rel. 53
58.08 deg, d = 1.588 Å, rel. 21
69.89 deg, d = 1.346 Å, rel. 43